(1)
This entry pairs a crystal structure of HfMg2 with its simulated X-ray powder pattern. Radiation: a wavelength of 1.5418 Å. Structure: DFT lattice parameters and positions (PBE).
Kinematic intensities with the Lorentz-polarization factor, no thermal factor.

Structural model:
```
data_HfMg2
_cell_length_a 3.0662
_cell_length_b 16.6028
_cell_length_c 5.1516
_cell_angle_alpha 90.00
_cell_angle_beta 90.00
_cell_angle_gamma 90.00
_space_group_name_H-M_alt 'C m c m'
_space_group_IT_number 63
_space_group_name_Hall '-C 2c 2'
loop_
_atom_site_label
_atom_site_type_symbol
_atom_site_fract_x
_atom_site_fract_y
_atom_site_fract_z
_atom_site_occupancy
Hf1 Hf 0.0000 0.1079 0.2500 1
Mg1 Mg 0.0000 0.2216 0.7500 1
Mg2 Mg 0.0000 0.4449 0.2500 1
```

Peak list (12 most intense, 10 to 90 degrees two-theta, sorted by position)
2θ 20.29, d 4.377, I = 100, hkl 0 2 1
2θ 21.41, d 4.151, I = 38, hkl 0 4 0
2θ 29.63, d 3.015, I = 26, hkl 1 1 0
2θ 34.46, d 2.602, I = 22, hkl 1 1 1
2θ 34.83, d 2.576, I = 32, hkl 0 0 2
2θ 36.87, d 2.438, I = 36, hkl 0 6 1
2θ 37.82, d 2.379, I = 80, hkl 1 3 1
2θ 40.02, d 2.253, I = 18, hkl 1 5 0
2θ 46.36, d 1.958, I = 15, hkl 1 1 2
2θ 51.87, d 1.763, I = 18, hkl 1 7 1
2θ 64.41, d 1.446, I = 26, hkl 1 3 3
2θ 69.81, d 1.347, I = 16, hkl 1 9 2



(2)
This entry pairs a crystal structure of HfMgNbTc with its simulated X-ray powder pattern. Radiation: a wavelength of 1.5418 Å. Structure: DFT lattice parameters and positions (PBE).
Kinematic intensities with the Lorentz-polarization factor, no thermal factor.

Structural model:
```
data_HfMgNbTc
_cell_length_a 6.5974
_cell_length_b 6.5974
_cell_length_c 6.5974
_cell_angle_alpha 90.00
_cell_angle_beta 90.00
_cell_angle_gamma 90.00
_space_group_name_H-M_alt 'F -4 3 m'
_space_group_IT_number 216
_space_group_name_Hall 'F -4 2 3'
loop_
_atom_site_label
_atom_site_type_symbol
_atom_site_fract_x
_atom_site_fract_y
_atom_site_fract_z
_atom_site_occupancy
Hf1 Hf 0.0000 0.0000 0.0000 1
Mg1 Mg 0.2500 0.2500 0.2500 1
Nb1 Nb 0.0000 0.0000 0.5000 1
Tc1 Tc 0.2500 0.2500 0.7500 1
```

Peak list (12 most intense, 10 to 90 degrees two-theta, sorted by position)
2θ 23.35, d 3.809, I = 18, hkl 1 1 1
2θ 27.03, d 3.299, I = 17, hkl 2 0 0
2θ 38.60, d 2.333, I = 100, hkl 2 2 0
2θ 45.60, d 1.989, I = 10, hkl 3 1 1
2θ 47.76, d 1.905, I = 5, hkl 2 2 2
2θ 55.73, d 1.649, I = 17, hkl 4 0 0
2θ 61.24, d 1.514, I = 4, hkl 3 3 1
2θ 63.01, d 1.475, I = 7, hkl 4 2 0
2θ 69.84, d 1.347, I = 34, hkl 4 2 2
2θ 82.75, d 1.166, I = 11, hkl 4 4 0
2θ 87.47, d 1.115, I = 3, hkl 5 3 1
2θ 89.03, d 1.100, I = 3, hkl 6 0 0



(3)
This entry pairs a crystal structure of Hf2Mg2Ni3 with its simulated X-ray powder pattern. Radiation: a wavelength of 1.5418 Å. Structure: DFT lattice parameters and positions (PBE).
Kinematic intensities with the Lorentz-polarization factor, no thermal factor.

Structural model:
```
data_Hf2Mg2Ni3
_cell_length_a 4.3552
_cell_length_b 4.3552
_cell_length_c 20.9748
_cell_angle_alpha 90.00
_cell_angle_beta 90.00
_cell_angle_gamma 120.00
_space_group_name_H-M_alt 'R 3 m'
_space_group_IT_number 160
_space_group_name_Hall 'R 3 -2"'
loop_
_atom_site_label
_atom_site_type_symbol
_atom_site_fract_x
_atom_site_fract_y
_atom_site_fract_z
_atom_site_occupancy
Hf1 Hf 0.0000 0.0000 0.0000 1
Hf2 Hf 0.0000 0.0000 0.4938 1
Mg1 Mg 0.0000 0.0000 0.2426 1
Mg2 Mg 0.0000 0.0000 0.7484 1
Ni1 Ni 0.0000 0.0000 0.3679 1
Ni2 Ni 0.0000 0.0000 0.6201 1
Ni3 Ni 0.0000 0.0000 0.8748 1
```

Peak list (12 most intense, 10 to 90 degrees two-theta, sorted by position)
2θ 25.09, d 3.549, I = 98, hkl 0 1 2
2θ 25.48, d 3.496, I = 31, hkl 0 0 6
2θ 29.17, d 3.062, I = 30, hkl 1 0 4
2θ 41.47, d 2.178, I = 100, hkl 1 1 0
2θ 41.97, d 2.153, I = 94, hkl 0 1 8
2θ 49.08, d 1.856, I = 16, hkl 2 0 2
2θ 49.30, d 1.848, I = 32, hkl 1 1 6
2θ 49.74, d 1.833, I = 15, hkl 1 0 10
2θ 60.47, d 1.531, I = 31, hkl 2 0 8
2θ 75.64, d 1.257, I = 16, hkl 3 0 0
2θ 75.98, d 1.252, I = 31, hkl 1 2 8
2θ 77.01, d 1.238, I = 14, hkl 1 0 16



(4)
This entry pairs a crystal structure of Hf2Mg2O5 with its simulated X-ray powder pattern. Radiation: a wavelength of 1.5418 Å. Structure: DFT lattice parameters and positions (PBE).
Kinematic intensities with the Lorentz-polarization factor, no thermal factor.

Structural model:
```
data_Hf2Mg2O5
_cell_length_a 3.7642
_cell_length_b 3.7642
_cell_length_c 8.2846
_cell_angle_alpha 90.00
_cell_angle_beta 90.00
_cell_angle_gamma 90.00
_space_group_name_H-M_alt 'P 4/m m m'
_space_group_IT_number 123
_space_group_name_Hall '-P 4 2'
loop_
_atom_site_label
_atom_site_type_symbol
_atom_site_fract_x
_atom_site_fract_y
_atom_site_fract_z
_atom_site_occupancy
Hf1 Hf 0.0000 0.0000 0.2478 1
Mg1 Mg 0.5000 0.5000 0.0000 1
Mg2 Mg 0.5000 0.5000 0.5000 1
O1 O 0.0000 0.0000 0.0000 1
O2 O 0.0000 0.5000 0.3419 1
```

Peak list (12 most intense, 10 to 90 degrees two-theta, sorted by position)
2θ 21.45, d 4.142, I = 44, hkl 0 0 2
2θ 23.64, d 3.764, I = 73, hkl 1 0 0
2θ 32.13, d 2.786, I = 100, hkl 1 0 2
2θ 33.67, d 2.662, I = 37, hkl 1 1 0
2θ 40.28, d 2.239, I = 24, hkl 1 1 2
2θ 48.36, d 1.882, I = 25, hkl 2 0 0
2θ 50.28, d 1.815, I = 19, hkl 1 0 4
2θ 53.48, d 1.714, I = 16, hkl 2 0 2
2θ 54.51, d 1.683, I = 15, hkl 2 1 0
2θ 56.28, d 1.635, I = 28, hkl 1 1 4
2θ 59.25, d 1.560, I = 36, hkl 2 1 2
2θ 72.33, d 1.306, I = 13, hkl 2 1 4



(5)
This entry pairs a crystal structure of Hf2MgTc with its simulated X-ray powder pattern. Radiation: a wavelength of 1.5418 Å. Structure: DFT lattice parameters and positions (PBE).
Kinematic intensities with the Lorentz-polarization factor, no thermal factor.

Structural model:
```
data_Hf2MgTc
_cell_length_a 6.6724
_cell_length_b 6.6724
_cell_length_c 6.6724
_cell_angle_alpha 90.00
_cell_angle_beta 90.00
_cell_angle_gamma 90.00
_space_group_name_H-M_alt 'F -4 3 m'
_space_group_IT_number 216
_space_group_name_Hall 'F -4 2 3'
loop_
_atom_site_label
_atom_site_type_symbol
_atom_site_fract_x
_atom_site_fract_y
_atom_site_fract_z
_atom_site_occupancy
Hf1 Hf 0.0000 0.0000 0.0000 1
Hf2 Hf 0.2500 0.2500 0.2500 1
Mg1 Mg 0.2500 0.2500 0.7500 1
Tc1 Tc 0.0000 0.0000 0.5000 1
```

Peak list (12 most intense, 10 to 90 degrees two-theta, sorted by position)
2θ 23.09, d 3.852, I = 29, hkl 1 1 1
2θ 26.72, d 3.336, I = 3, hkl 2 0 0
2θ 38.15, d 2.359, I = 100, hkl 2 2 0
2θ 45.06, d 2.012, I = 16, hkl 3 1 1
2θ 47.19, d 1.926, I = 1, hkl 2 2 2
2θ 55.05, d 1.668, I = 17, hkl 4 0 0
2θ 60.48, d 1.531, I = 7, hkl 3 3 1
2θ 62.22, d 1.492, I = 1, hkl 4 2 0
2θ 68.95, d 1.362, I = 35, hkl 4 2 2
2θ 73.79, d 1.284, I = 5, hkl 5 1 1
2θ 81.63, d 1.180, I = 11, hkl 4 4 0
2θ 86.24, d 1.128, I = 5, hkl 5 3 1



(6)
This entry pairs a crystal structure of HfMo5 with its simulated X-ray powder pattern. Radiation: a wavelength of 1.5418 Å. Structure: DFT lattice parameters and positions (PBE).
Kinematic intensities with the Lorentz-polarization factor, no thermal factor.

Structural model:
```
data_HfMo5
_cell_length_a 5.2682
_cell_length_b 5.2682
_cell_length_c 4.4998
_cell_angle_alpha 90.00
_cell_angle_beta 90.00
_cell_angle_gamma 120.00
_space_group_name_H-M_alt 'P 6/m m m'
_space_group_IT_number 191
_space_group_name_Hall '-P 6 2'
loop_
_atom_site_label
_atom_site_type_symbol
_atom_site_fract_x
_atom_site_fract_y
_atom_site_fract_z
_atom_site_occupancy
Hf1 Hf 0.0000 0.0000 0.0000 1
Mo1 Mo 0.0000 0.5000 0.5000 1
Mo2 Mo 0.3333 0.6667 0.0000 1
```

Peak list (12 most intense, 10 to 90 degrees two-theta, sorted by position)
2θ 27.85, d 3.204, I = 36, hkl 1 0 1
2θ 34.04, d 2.634, I = 26, hkl 1 1 0
2θ 39.50, d 2.281, I = 32, hkl 2 0 0
2θ 39.65, d 2.273, I = 100, hkl 1 1 1
2θ 40.08, d 2.250, I = 32, hkl 0 0 2
2θ 44.53, d 2.035, I = 15, hkl 2 0 1
2θ 53.57, d 1.711, I = 14, hkl 1 1 2
2θ 57.54, d 1.602, I = 21, hkl 2 0 2
2θ 64.70, d 1.441, I = 23, hkl 3 0 1
2θ 71.65, d 1.317, I = 17, hkl 2 2 0
2θ 72.52, d 1.303, I = 17, hkl 1 1 3
2θ 85.41, d 1.137, I = 22, hkl 2 2 2



(7)
This entry pairs a crystal structure of Hf2Mo3Os2 with its simulated X-ray powder pattern. Radiation: a wavelength of 1.5418 Å. Structure: DFT lattice parameters and positions (PBE).
Kinematic intensities with the Lorentz-polarization factor, no thermal factor.

Structural model:
```
data_Hf2Mo3Os2
_cell_length_a 4.4450
_cell_length_b 4.4450
_cell_length_c 21.6696
_cell_angle_alpha 90.00
_cell_angle_beta 90.00
_cell_angle_gamma 120.00
_space_group_name_H-M_alt 'R 3 m'
_space_group_IT_number 160
_space_group_name_Hall 'R 3 -2"'
loop_
_atom_site_label
_atom_site_type_symbol
_atom_site_fract_x
_atom_site_fract_y
_atom_site_fract_z
_atom_site_occupancy
Hf1 Hf 0.0000 0.0000 0.0000 1
Hf2 Hf 0.0000 0.0000 0.4859 1
Mo1 Mo 0.0000 0.0000 0.3666 1
Mo2 Mo 0.0000 0.0000 0.6138 1
Mo3 Mo 0.0000 0.0000 0.8661 1
Os1 Os 0.0000 0.0000 0.2439 1
Os2 Os 0.0000 0.0000 0.7476 1
```

Peak list (12 most intense, 10 to 90 degrees two-theta, sorted by position)
2θ 28.44, d 3.138, I = 44, hkl 1 0 4
2θ 31.07, d 2.878, I = 6, hkl 0 1 5
2θ 40.59, d 2.222, I = 100, hkl 1 1 0
2θ 40.73, d 2.215, I = 93, hkl 0 1 8
2θ 50.31, d 1.814, I = 10, hkl 0 2 4
2θ 58.86, d 1.569, I = 32, hkl 2 0 8
2θ 66.55, d 1.405, I = 9, hkl 2 1 4
2θ 66.74, d 1.401, I = 8, hkl 1 1 12
2θ 73.92, d 1.282, I = 50, hkl 3 0 0
2θ 74.23, d 1.278, I = 13, hkl 1 0 16
2θ 87.86, d 1.111, I = 11, hkl 2 2 0
2θ 88.22, d 1.108, I = 9, hkl 0 2 16



(8)
This entry pairs a crystal structure of HfMoOs2 with its simulated X-ray powder pattern. Radiation: a wavelength of 1.5418 Å. Structure: DFT lattice parameters and positions (PBE).
Kinematic intensities with the Lorentz-polarization factor, no thermal factor.

Structural model:
```
data_HfMoOs2
_cell_length_a 6.3506
_cell_length_b 6.3506
_cell_length_c 6.3506
_cell_angle_alpha 90.00
_cell_angle_beta 90.00
_cell_angle_gamma 90.00
_space_group_name_H-M_alt 'F -4 3 m'
_space_group_IT_number 216
_space_group_name_Hall 'F -4 2 3'
loop_
_atom_site_label
_atom_site_type_symbol
_atom_site_fract_x
_atom_site_fract_y
_atom_site_fract_z
_atom_site_occupancy
Hf1 Hf 0.0000 0.0000 0.0000 1
Mo1 Mo 0.2500 0.2500 0.7500 1
Os1 Os 0.0000 0.0000 0.5000 1
Os2 Os 0.2500 0.2500 0.2500 1
```

Peak list (11 most intense, 10 to 90 degrees two-theta, sorted by position)
2θ 24.28, d 3.667, I = 4, hkl 1 1 1
2θ 28.10, d 3.175, I = 2, hkl 2 0 0
2θ 40.16, d 2.245, I = 100, hkl 2 2 0
2θ 47.48, d 1.915, I = 2, hkl 3 1 1
2θ 49.73, d 1.833, I = 1, hkl 2 2 2
2θ 58.10, d 1.588, I = 17, hkl 4 0 0
2θ 63.89, d 1.457, I = 1, hkl 3 3 1
2θ 65.76, d 1.420, I = 1, hkl 4 2 0
2θ 72.98, d 1.296, I = 35, hkl 4 2 2
2θ 78.21, d 1.222, I = 1, hkl 5 1 1
2θ 86.74, d 1.123, I = 11, hkl 4 4 0